Simulated powder diffractogram
Compound: Li9Mn7O16
Radiation: copper Kα
Structure: a DFT-relaxed cell (GGA+U, the Materials Project)
Intensities are scaled so that the largest is 100.

```
data_Li9Mn7O16
_chemical_formula_sum 'Li9 Mn7 O16'
_symmetry_space_group_name_H-M 'P 1'
_symmetry_Int_Tables_number 1
_cell_length_a 5.3416
_cell_length_b 5.7437
_cell_length_c 9.9042
_cell_angle_alpha 98.34
_cell_angle_beta 99.05
_cell_angle_gamma 90.00
loop_
_symmetry_equiv_pos_as_xyz
'x,y,z'
loop_
_atom_site_label
_atom_site_fract_x
_atom_site_fract_y
_atom_site_fract_z
Li1 0.0000 0.0000 0.0000
Li2 0.1266 0.1833 0.7499
Li3 0.1266 0.6917 0.7499
Li4 0.3669 0.0598 0.2390
Li5 0.3780 0.5610 0.2442
Li6 0.6220 0.4390 0.7558
Li7 0.6331 0.9402 0.7610
Li8 0.8734 0.3083 0.2501
Li9 0.8734 0.8167 0.2501
Mn1 0.0000 0.5000 0.0000
Mn2 0.2493 0.3742 0.4973
Mn3 0.2502 0.8744 0.4972
Mn4 0.5000 0.2487 0.0000
Mn5 0.5000 0.7513 0.0000
Mn6 0.7498 0.1256 0.5028
Mn7 0.7507 0.6258 0.5027
O1 0.0865 0.0944 0.3783
O2 0.0861 0.5950 0.3794
O3 0.2134 0.2849 0.1031
O4 0.2135 0.7666 0.1031
O5 0.3316 0.4709 0.8835
O6 0.3403 0.9710 0.8842
O7 0.4102 0.1539 0.6159
O8 0.4105 0.6540 0.6160
O9 0.5895 0.3460 0.3840
O10 0.5898 0.8461 0.3841
O11 0.6597 0.0290 0.1158
O12 0.6684 0.5291 0.1165
O13 0.7865 0.2334 0.8969
O14 0.7866 0.7151 0.8969
O15 0.9139 0.4050 0.6206
O16 0.9135 0.9056 0.6217
```

Peak list (6 most intense, 5 to 70 degrees two-theta, by intensity)
hkl 0 0 2, 4.837 Å, I 100; hkl 1 2 2, 2.043 Å, I 55; hkl 2 0 -3, 2.222 Å, I 35; hkl 1 2 0, 2.477 Å, I 23; hkl 2 0 -1, 2.653 Å, I 19; hkl 3 2 -1, 1.511 Å, I 17



Simulated powder diffractogram
Compound: Li3VB2O6
Radiation: copper Kα
Structure: a DFT-relaxed cell (GGA+U, the Materials Project)
Intensities are scaled so that the largest is 100.

```
data_Li3VB2O6
_chemical_formula_sum 'Li12 V4 B8 O24'
_symmetry_space_group_name_H-M 'P 1'
_symmetry_Int_Tables_number 1
_cell_length_a 5.9713
_cell_length_b 8.7646
_cell_length_c 10.4351
_cell_angle_alpha 90.00
_cell_angle_beta 124.42
_cell_angle_gamma 90.00
loop_
_symmetry_equiv_pos_as_xyz
'x,y,z'
loop_
_atom_site_label
_atom_site_fract_x
_atom_site_fract_y
_atom_site_fract_z
Li1 0.1185 0.0826 0.4020
Li2 0.1185 0.4174 0.9020
Li3 0.1629 0.2415 0.6530
Li4 0.1629 0.2585 0.1530
Li5 0.3727 0.7296 0.3969
Li6 0.3727 0.7704 0.8969
Li7 0.6273 0.2296 0.1031
Li8 0.6273 0.2704 0.6031
Li9 0.8371 0.7415 0.8470
Li10 0.8371 0.7585 0.3470
Li11 0.8815 0.5826 0.0980
Li12 0.8815 0.9174 0.5980
V1 0.2924 0.5989 0.6310
V2 0.2924 0.9011 0.1310
V3 0.7076 0.0989 0.8690
V4 0.7076 0.4011 0.3690
B1 0.1453 0.1063 0.8640
B2 0.1453 0.3937 0.3640
B3 0.3866 0.5652 0.1365
B4 0.3866 0.9348 0.6365
B5 0.6134 0.0652 0.3635
B6 0.6134 0.4348 0.8635
B7 0.8547 0.6063 0.6360
B8 0.8547 0.8937 0.1360
O1 0.0506 0.7180 0.6836
O2 0.0506 0.7820 0.1836
O3 0.0727 0.5331 0.3968
O4 0.0727 0.9669 0.8968
O5 0.2003 0.6553 0.0139
O6 0.2003 0.8447 0.5139
O7 0.3755 0.1403 0.8731
O8 0.3755 0.3597 0.3731
O9 0.4260 0.0880 0.6173
O10 0.4260 0.4120 0.1173
O11 0.4545 0.1123 0.2088
O12 0.4545 0.3877 0.7088
O13 0.5455 0.6123 0.2912
O14 0.5455 0.8877 0.7912
O15 0.5740 0.5880 0.8827
O16 0.5740 0.9120 0.3827
O17 0.6245 0.6403 0.6269
O18 0.6245 0.8597 0.1269
O19 0.7997 0.1553 0.4861
O20 0.7997 0.3447 0.9861
O21 0.9273 0.0331 0.1032
O22 0.9273 0.4669 0.6032
O23 0.9494 0.2180 0.8164
O24 0.9494 0.2820 0.3164
```

Peak list (6 most intense, 5 to 70 degrees two-theta, by intensity)
hkl 1 0 -2, 4.887 Å, I 100; hkl 0 1 1, 6.142 Å, I 98; hkl 0 1 2, 3.863 Å, I 66; hkl 0 2 1, 3.905 Å, I 64; hkl 0 1 3, 2.727 Å, I 47; hkl 2 0 -2, 2.986 Å, I 46